Entry 1:
This entry pairs a crystal structure of Ac2Cu2Hg with its computed X-ray powder pattern. Radiation: Cu Kα, 1.54184 Å. Structure: the PBE geometry in Alexandria.

Largest 12 diffraction maxima, in order of falling intensity, 10° ≤ 2θ ≤ 90°:
two_theta	Rel. int.
30.70	100
32.09	77
26.98	48
35.89	39
53.55	37
41.67	24
44.54	19
52.84	19
58.47	19
51.91	17
34.98	15
62.63	14

Structure:
```
data_Ac2Cu2Hg
_symmetry_space_group_name_H-M 'P 1'
_symmetry_Int_Tables_number 1
_symmetry_space_group_name_Hall 'P 1'
_cell_length_a 7.962
_cell_length_b 7.962
_cell_length_c 4.068
_cell_angle_alpha 90.00
_cell_angle_beta 90.00
_cell_angle_gamma 148.41
loop_
_atom_site_label
_atom_site_fract_x
_atom_site_fract_y
_atom_site_fract_z
_atom_site_occupancy
Ac1 0.131 0.869 0.000 1
Ac2 0.869 0.131 0.000 1
Cu1 0.292 0.708 0.500 1
Cu2 0.708 0.292 0.500 1
Hg1 0.500 0.500 0.500 1
```

Entry 2:
This entry pairs a crystal structure of Ac2MnAl4Au3 with its computed X-ray powder pattern. Radiation: Cu Kα, 1.54184 Å. Structure: the PBE geometry in Alexandria.

Largest 12 diffraction maxima, in order of falling intensity, 10° ≤ 2θ ≤ 90°:
two_theta	Rel. int.
31.71	100
32.69	98
40.24	68
52.11	51
25.74	46
46.33	41
28.15	41
29.35	39
63.01	34
68.38	24
58.21	23
48.38	18

Structure:
```
data_Ac2MnAl4Au3
_symmetry_space_group_name_H-M 'P 1'
_symmetry_Int_Tables_number 1
_symmetry_space_group_name_Hall 'P 1'
_cell_length_a 4.483
_cell_length_b 4.483
_cell_length_c 10.894
_cell_angle_alpha 90.00
_cell_angle_beta 90.00
_cell_angle_gamma 90.00
loop_
_atom_site_label
_atom_site_fract_x
_atom_site_fract_y
_atom_site_fract_z
_atom_site_occupancy
Ac1 0.000 0.500 0.246 1
Ac2 0.500 0.000 0.754 1
Mn1 0.500 0.500 0.000 1
Al1 0.000 0.000 0.500 1
Al2 0.000 0.500 0.873 1
Al3 0.500 0.000 0.127 1
Al4 0.500 0.500 0.500 1
Au1 0.000 0.000 0.000 1
Au2 0.000 0.500 0.629 1
Au3 0.500 0.000 0.371 1
```

Entry 3:
This entry pairs a crystal structure of AcLaNi4 with its computed X-ray powder pattern. Radiation: Cu Kα, 1.54184 Å. Structure: the PBE geometry in Alexandria.

Largest 12 diffraction maxima, in order of falling intensity, 10° ≤ 2θ ≤ 90°:
two_theta	Rel. int.
33.27	100
43.93	55
33.31	49
64.08	35
24.94	32
56.18	22
74.01	19
44.19	18
74.33	14
56.29	12
51.41	10
73.86	10

Structure:
```
data_AcLaNi4
_symmetry_space_group_name_H-M 'P 1'
_symmetry_Int_Tables_number 1
_symmetry_space_group_name_Hall 'P 1'
_cell_length_a 4.099
_cell_length_b 4.128
_cell_length_c 7.129
_cell_angle_alpha 90.00
_cell_angle_beta 90.00
_cell_angle_gamma 90.00
loop_
_atom_site_label
_atom_site_fract_x
_atom_site_fract_y
_atom_site_fract_z
_atom_site_occupancy
Ac1 0.000 0.000 0.000 1
La1 0.000 0.500 0.500 1
Ni1 0.500 0.000 0.336 1
Ni2 0.500 0.000 0.664 1
Ni3 0.500 0.500 0.170 1
Ni4 0.500 0.500 0.830 1
```

Entry 4:
This entry pairs a crystal structure of Ti4CdAg with its computed X-ray powder pattern. Radiation: Cu Kα, 1.54184 Å. Structure: the PBE geometry in Alexandria.

Largest 12 diffraction maxima, in order of falling intensity, 10° ≤ 2θ ≤ 90°:
two_theta	Rel. int.
37.54	100
44.42	31
77.21	21
13.72	20
31.79	19
62.77	18
41.98	17
73.78	13
27.63	10
64.63	9
80.11	9
53.12	7

Structure:
```
data_Ti4CdAg
_symmetry_space_group_name_H-M 'P 1'
_symmetry_Int_Tables_number 1
_symmetry_space_group_name_Hall 'P 1'
_cell_length_a 2.884
_cell_length_b 2.884
_cell_length_c 12.913
_cell_angle_alpha 90.00
_cell_angle_beta 90.00
_cell_angle_gamma 90.00
loop_
_atom_site_label
_atom_site_fract_x
_atom_site_fract_y
_atom_site_fract_z
_atom_site_occupancy
Ti1 0.000 0.000 0.166 1
Ti2 0.000 0.000 0.834 1
Ti3 0.500 0.500 0.314 1
Ti4 0.500 0.500 0.686 1
Cd1 0.000 0.000 0.500 1
Ag1 0.500 0.500 0.000 1
```

Entry 5:
This entry pairs a crystal structure of SrTa3O8 with its computed X-ray powder pattern. Radiation: Cu Kα, 1.54184 Å. Structure: the PBE geometry in Alexandria.

Largest 12 diffraction maxima, in order of falling intensity, 10° ≤ 2θ ≤ 90°:
two_theta	Rel. int.
13.28	100
32.46	79
32.76	51
22.90	46
35.21	34
42.54	24
46.79	23
58.10	22
57.91	21
44.99	19
58.67	17
78.03	14

Structure:
```
data_SrTa3O8
_symmetry_space_group_name_H-M 'P 1'
_symmetry_Int_Tables_number 1
_symmetry_space_group_name_Hall 'P 1'
_cell_length_a 5.516
_cell_length_b 5.516
_cell_length_c 6.666
_cell_angle_alpha 90.00
_cell_angle_beta 90.00
_cell_angle_gamma 120.00
loop_
_atom_site_label
_atom_site_fract_x
_atom_site_fract_y
_atom_site_fract_z
_atom_site_occupancy
Sr1 0.000 0.000 0.000 1
Ta1 0.000 0.000 0.500 1
Ta2 0.333 0.667 0.611 1
Ta3 0.667 0.333 0.389 1
O1 0.043 0.354 0.369 1
O2 0.311 0.957 0.369 1
O3 0.333 0.667 0.882 1
O4 0.354 0.311 0.631 1
O5 0.646 0.689 0.369 1
O6 0.667 0.333 0.118 1
O7 0.689 0.043 0.631 1
O8 0.957 0.646 0.631 1
```

Entry 6:
This entry pairs a crystal structure of Cs2Tl6PdPb with its computed X-ray powder pattern. Radiation: Cu Kα, 1.54184 Å. Structure: the PBE geometry in Alexandria.

Largest 12 diffraction maxima, in order of falling intensity, 10° ≤ 2θ ≤ 90°:
two_theta	Rel. int.
29.73	100
37.23	38
28.73	34
47.36	27
35.73	23
53.47	15
66.86	15
26.45	13
42.78	13
56.92	12
13.32	12
18.37	11

Structure:
```
data_Cs2Tl6PdPb
_symmetry_space_group_name_H-M 'P 1'
_symmetry_Int_Tables_number 1
_symmetry_space_group_name_Hall 'P 1'
_cell_length_a 7.678
_cell_length_b 7.678
_cell_length_c 7.029
_cell_angle_alpha 90.00
_cell_angle_beta 90.00
_cell_angle_gamma 120.00
loop_
_atom_site_label
_atom_site_fract_x
_atom_site_fract_y
_atom_site_fract_z
_atom_site_occupancy
Cs1 0.333 0.667 0.170 1
Cs2 0.667 0.333 0.830 1
Tl1 0.186 0.373 0.687 1
Tl2 0.186 0.814 0.687 1
Tl3 0.373 0.186 0.313 1
Tl4 0.627 0.814 0.687 1
Tl5 0.814 0.186 0.313 1
Tl6 0.814 0.627 0.313 1
Pd1 0.000 0.000 0.500 1
Pb1 0.000 0.000 0.000 1
```

Entry 7:
This entry pairs a crystal structure of GdGa6Fe6 with its computed X-ray powder pattern. Radiation: Cu Kα, 1.54184 Å. Structure: the PBE geometry in Alexandria.

Largest 12 diffraction maxima, in order of falling intensity, 10° ≤ 2θ ≤ 90°:
two_theta	Rel. int.
42.05	100
40.52	92
35.78	72
41.31	66
75.81	35
34.46	22
46.13	22
33.18	16
66.41	15
29.05	14
62.59	14
45.68	14

Structure:
```
data_GdGa6Fe6
_symmetry_space_group_name_H-M 'P 1'
_symmetry_Int_Tables_number 1
_symmetry_space_group_name_Hall 'P 1'
_cell_length_a 8.597
_cell_length_b 6.673
_cell_length_c 6.551
_cell_angle_alpha 81.09
_cell_angle_beta 50.08
_cell_angle_gamma 48.84
loop_
_atom_site_label
_atom_site_fract_x
_atom_site_fract_y
_atom_site_fract_z
_atom_site_occupancy
Gd1 0.000 0.000 0.000 1
Ga1 0.000 0.000 0.500 1
Ga2 0.017 0.351 0.649 1
Ga3 0.351 0.017 0.983 1
Ga4 0.500 0.500 0.000 1
Ga5 0.649 0.983 0.017 1
Ga6 0.983 0.649 0.351 1
Fe1 0.000 0.500 0.000 1
Fe2 0.290 0.494 0.506 1
Fe3 0.494 0.290 0.710 1
Fe4 0.500 0.000 0.500 1
Fe5 0.506 0.710 0.290 1
Fe6 0.710 0.506 0.494 1
```

Entry 8:
This entry pairs a crystal structure of ScBeCu3 with its computed X-ray powder pattern. Radiation: Cu Kα, 1.54184 Å. Structure: the PBE geometry in Alexandria.

Largest 12 diffraction maxima, in order of falling intensity, 10° ≤ 2θ ≤ 90°:
two_theta	Rel. int.
40.93	100
38.47	29
35.93	22
71.26	17
53.65	16
64.58	13
77.75	13
26.08	13
79.35	9
48.16	8
58.82	8
63.26	5

Structure:
```
data_ScBeCu3
_symmetry_space_group_name_H-M 'P 1'
_symmetry_Int_Tables_number 1
_symmetry_space_group_name_Hall 'P 1'
_cell_length_a 5.773
_cell_length_b 5.773
_cell_length_c 4.680
_cell_angle_alpha 90.00
_cell_angle_beta 90.00
_cell_angle_gamma 120.00
loop_
_atom_site_label
_atom_site_fract_x
_atom_site_fract_y
_atom_site_fract_z
_atom_site_occupancy
Sc1 0.333 0.667 0.250 1
Sc2 0.667 0.333 0.750 1
Be1 0.000 0.000 0.000 1
Be2 0.000 0.000 0.500 1
Cu1 0.188 0.375 0.750 1
Cu2 0.188 0.812 0.750 1
Cu3 0.375 0.188 0.250 1
Cu4 0.625 0.812 0.750 1
Cu5 0.812 0.188 0.250 1
Cu6 0.812 0.625 0.250 1
```